Structure and simulated powder diffraction line list of PmPrAlPd (a structure optimized by DFT (PBE); Cu Ka).
Neutral-atom scattering factors, no anomalous dispersion.

Structure:
Cell lengths 4.3192, 4.4864, 10.7767 Å; angles 90.00, 90.00, 90.00 degrees
Space group Amm2 (No. 38)
Unique sites:
Pm 0.0000 0.0000 0.0000
Pr 0.5000 0.0000 0.7104
Al 0.0000 0.0000 0.2942
Pd 0.5000 0.0000 0.4313

Main lines, low angle first (10° ≤ 2θ ≤ 80°):
d = 3.370 Å, I = 24, hkl 1 0 2
d = 2.989 Å, I = 100, hkl 1 1 1
d = 2.804 Å, I = 43, hkl 0 1 3
d = 2.694 Å, I = 19, hkl 0 0 4
d = 2.352 Å, I = 36, hkl 1 1 3
d = 2.286 Å, I = 19, hkl 1 0 4
d = 2.243 Å, I = 23, hkl 0 2 0
d = 2.160 Å, I = 20, hkl 2 0 0
d = 1.711 Å, I = 20, hkl 2 1 3
d = 1.556 Å, I = 14, hkl 2 2 0